Structure and simulated powder diffractogram of Tb14DyY (a DFT-relaxed cell (GGA-PBE, Alexandria); Cu Kα X-rays).
Peak positions follow from Bragg's law for the DFT cell and can differ from measured ones.

The 6 most intense peaks (10 to 90 degrees two-theta), sorted by position:
| 2θ/deg | I_rel | (hkl) |
| --- | --- | --- |
| 29.88 | 40 | 1 0 4 |
| 31.09 | 34 | 4 0 0 |
| 32.85 | 100 | 2 2 2 |
| 37.32 | 22 | 3 0 4 |
| 51.09 | 25 | 0 4 0 |
| 61.02 | 30 | 4 4 0 |

Cell lengths 11.5069, 7.1520, 12.3838 Å; angles 90.00, 90.00, 90.00 degrees
Space group Amm2 (No. 38)
Unique sites:
Tb 0.0000 0.0000 0.0000 [2 per cell]
Tb 0.0000 0.0000 0.5000 [2 per cell]
Tb 0.0000 0.2498 0.2501 [4 per cell]
Tb 0.2505 0.0000 0.3333 [4 per cell]
Tb 0.2497 0.0000 0.8334 [4 per cell]
Tb 0.2500 0.2495 0.0831 [8 per cell]
Tb 0.5000 0.2503 0.4165 [4 per cell]
Dy 0.5000 0.0000 0.1664 [2 per cell]
Y 0.5000 0.0000 0.6664 [2 per cell]